No. 1
Pr8Sm2Y3: calculated powder diffractogram (copper Kα), based on DFT lattice parameters and positions (PBE).

Top 6 peaks for 5° ≤ 2θ ≤ 70°, in order of rising 2θ:
| 2theta | I_rel |
| --- | --- |
| 29.20 | 41 |
| 30.01 | 100 |
| 30.44 | 53 |
| 31.58 | 57 |
| 33.00 | 47 |
| 33.63 | 36 |

Structural model:
a b c (Å): 6.2219 6.3863 23.2004
angles (deg): 89.99 89.93 82.69
Sites, in units of the cell vectors:
Pr 0.0435 0.2414 0.0410
Pr 0.0439 0.7414 0.4589
Pr 0.1263 0.7304 0.1225
Pr 0.1272 0.2304 0.3772
Pr 0.2890 0.0599 0.7861
Pr 0.2886 0.5601 0.7139
Pr 0.3393 0.0489 0.6422
Pr 0.3402 0.5485 0.8577
Pr 0.6598 0.4515 0.1423
Pr 0.6607 0.9511 0.3578
Pr 0.7114 0.4399 0.2861
Pr 0.7110 0.9401 0.2139
Pr 0.8728 0.7696 0.6228
Pr 0.8737 0.2696 0.8775
Pr 0.9561 0.2586 0.5411
Pr 0.9565 0.7586 0.9590
Sm 0.4199 0.5222 0.5713
Sm 0.4206 0.0219 0.9286
Sm 0.5794 0.9781 0.0714
Sm 0.5801 0.4778 0.4287
Y 0.1799 0.2268 0.2071
Y 0.1803 0.7269 0.2926
Y 0.5000 0.0000 0.5000
Y 0.5000 0.5000 0.0000
Y 0.8197 0.2731 0.7074
Y 0.8201 0.7732 0.7929

---

No. 2
Li3Tm3USe8: calculated powder diffractogram (copper Kα), based on DFT lattice parameters and positions (PBE).

Top 6 peaks for 5° ≤ 2θ ≤ 70°, in order of rising 2θ:
| 2theta | I_rel |
| --- | --- |
| 13.63 | 65 |
| 25.84 | 43 |
| 31.45 | 100 |
| 34.42 | 20 |
| 44.81 | 38 |
| 45.35 | 36 |

Structural model:
a b c (Å): 8.0000 8.0000 8.0000
angles (deg): 60.75 60.75 60.75
Sites, in units of the cell vectors:
Li 0.0000 0.5000 0.5000
Li 0.5000 0.0000 0.5000
Li 0.5000 0.5000 0.0000
Tm 0.0000 0.0000 0.5000
Tm 0.0000 0.5000 0.0000
Tm 0.5000 0.0000 0.0000
U 0.5000 0.5000 0.5000
Se 0.2487 0.7491 0.7491
Se 0.2500 0.2500 0.2500
Se 0.2509 0.2509 0.7513
Se 0.2509 0.7513 0.2509
Se 0.7491 0.2487 0.7491
Se 0.7491 0.7491 0.2487
Se 0.7500 0.7500 0.7500
Se 0.7513 0.2509 0.2509

---

No. 3
DyScCr2S6: calculated powder diffractogram (copper Kα), based on DFT lattice parameters and positions (PBE).

Top 6 peaks for 5° ≤ 2θ ≤ 70°, in order of rising 2θ:
| 2theta | I_rel |
| --- | --- |
| 19.19 | 65 |
| 26.62 | 98 |
| 27.89 | 72 |
| 32.22 | 79 |
| 42.91 | 100 |
| 49.34 | 61 |

Structural model:
a b c (Å): 6.7119 6.7119 6.7119
angles (deg): 56.92 56.92 56.92
Sites, in units of the cell vectors:
Dy 0.0000 0.0000 0.0000
Sc 0.4929 0.4929 0.4929
Cr 0.2958 0.2958 0.2958
Cr 0.7985 0.7985 0.7985
S 0.0692 0.6599 0.4402
S 0.1805 0.5613 0.9188
S 0.4402 0.0692 0.6599
S 0.5613 0.9188 0.1805
S 0.6599 0.4402 0.0692
S 0.9188 0.1805 0.5613

---

No. 4
PuIn3Br6: calculated powder diffractogram (copper Kα), based on DFT lattice parameters and positions (PBE).

Top 6 peaks for 5° ≤ 2θ ≤ 70°, in order of rising 2θ:
| 2theta | I_rel |
| --- | --- |
| 12.92 | 90 |
| 21.49 | 100 |
| 22.68 | 98 |
| 30.92 | 78 |
| 38.68 | 72 |
| 40.77 | 65 |

Structural model:
a b c (Å): 7.7874 8.6628 13.2055
angles (deg): 90.00 121.96 90.00
Sites, in units of the cell vectors:
Pu 0.0000 0.0000 0.0000
Pu 0.0000 0.5000 0.5000
In 0.3017 0.0810 0.7739
In 0.3017 0.4190 0.2739
In 0.5000 0.0000 0.5000
In 0.5000 0.5000 0.0000
In 0.6983 0.5810 0.7261
In 0.6983 0.9190 0.2261
Br 0.0883 0.0678 0.2368
Br 0.0883 0.4322 0.7368
Br 0.2472 0.7253 0.0826
Br 0.2472 0.7747 0.5826
Br 0.3552 0.1637 0.0415
Br 0.3552 0.3363 0.5415
Br 0.6448 0.6637 0.4585
Br 0.6448 0.8363 0.9585
Br 0.7528 0.2253 0.4174
Br 0.7528 0.2747 0.9174
Br 0.9117 0.5678 0.2632
Br 0.9117 0.9322 0.7632

---

No. 5
Tb7Pr12Sc: calculated powder diffractogram (copper Kα), based on DFT lattice parameters and positions (PBE).

Top 6 peaks for 5° ≤ 2θ ≤ 70°, in order of rising 2θ:
| 2theta | I_rel |
| --- | --- |
| 27.18 | 30 |
| 29.82 | 100 |
| 30.35 | 34 |
| 32.54 | 34 |
| 32.81 | 32 |
| 39.01 | 31 |

Structural model:
a b c (Å): 11.5566 11.5566 11.5566
angles (deg): 116.80 116.80 116.80
Sites, in units of the cell vectors:
Tb 0.0000 0.0000 0.0000
Tb 0.1404 0.3821 0.3821
Tb 0.3821 0.1404 0.3821
Tb 0.3821 0.3821 0.1404
Tb 0.6179 0.6179 0.8596
Tb 0.6179 0.8596 0.6179
Tb 0.8596 0.6179 0.6179
Pr 0.0000 0.4118 0.5882
Pr 0.0000 0.5882 0.4118
Pr 0.0775 0.0775 0.4298
Pr 0.0775 0.4298 0.0775
Pr 0.4118 0.0000 0.5882
Pr 0.4118 0.5882 0.0000
Pr 0.4298 0.0775 0.0775
Pr 0.5702 0.9225 0.9225
Pr 0.5882 0.0000 0.4118
Pr 0.5882 0.4118 0.0000
Pr 0.9225 0.5702 0.9225
Pr 0.9225 0.9225 0.5702
Sc 0.5000 0.5000 0.5000

---

No. 6
CuHClO: calculated powder diffractogram (copper Kα), based on DFT lattice parameters and positions (PBE).

Top 6 peaks for 5° ≤ 2θ ≤ 70°, in order of rising 2θ:
| 2theta | I_rel |
| --- | --- |
| 16.55 | 100 |
| 26.21 | 46 |
| 31.65 | 57 |
| 32.41 | 31 |
| 40.21 | 54 |
| 50.15 | 27 |

Structural model:
a b c (Å): 3.7458 3.7458 6.2487
angles (deg): 117.87 117.87 49.51
Sites, in units of the cell vectors:
Cu 0.0000 0.0000 0.0000
H 0.2447 0.2447 0.6447
Cl 0.7457 0.7457 0.2777
O 0.3072 0.3072 0.8251